1.
This entry pairs a crystal structure of YEr5Sc3 with its computed powder XRD pattern. Radiation: copper Kα. Structure: a structure optimized by DFT (PBE).
Lines closer than 0.1° are merged.

Top 10 peaks for 2θ = 15–90°, sorted by position:
two_theta  d (Å)  Rel. int.
20.05  4.428  60
27.59  3.233  55
30.75  2.907  70
31.78  2.816  86
31.93  2.803  92
33.29  2.691  45
34.34  2.611  100
39.17  2.300  45
43.21  2.094  75
60.90  1.521  40

abc: 10.128 10.128 10.128
angles: 139.53 67.76 128.15
Positions (direct):
Y 0.336 0.086 0.250
Y 0.664 0.914 0.750
Er 0.154 0.322 0.338
Er 0.154 0.817 0.832
Er 0.289 0.539 0.750
Er 0.484 0.322 0.668
Er 0.484 0.817 0.162
Er 0.516 0.183 0.838
Er 0.516 0.678 0.332
Er 0.711 0.461 0.250
Er 0.846 0.183 0.168
Er 0.846 0.678 0.662
Sc 0.000 0.000 0.500
Sc 0.000 0.500 0.000
Sc 0.176 0.248 0.928
Sc 0.179 0.752 0.428
Sc 0.821 0.248 0.572
Sc 0.824 0.752 0.072

2.
This entry pairs a crystal structure of Y3Er4Sc with its computed powder XRD pattern. Radiation: copper Kα. Structure: a structure optimized by DFT (PBE).
Lines closer than 0.1° are merged.

Top 10 peaks for 2θ = 15–90°, sorted by position:
two_theta  d (Å)  Rel. int.
31.30  2.858  100
32.11  2.787  46
40.96  2.204  10
43.59  2.076  17
46.08  1.970  10
47.86  1.900  11
55.19  1.664  9
60.83  1.523  23
61.37  1.511  11
63.34  1.468  16

abc: 8.808 8.808 8.808
angles: 119.95 119.95 90.09
Positions (direct):
Y 0.148 0.648 0.797
Y 0.250 0.250 0.000
Y 0.352 0.148 0.500
Y 0.648 0.852 0.500
Y 0.750 0.750 0.000
Y 0.852 0.352 0.203
Er 0.014 0.814 0.500
Er 0.186 0.686 0.200
Er 0.314 0.514 0.500
Er 0.486 0.986 0.800
Er 0.514 0.014 0.200
Er 0.686 0.486 0.500
Er 0.814 0.314 0.800
Er 0.986 0.186 0.500
Sc 0.000 0.000 0.000
Sc 0.500 0.500 0.000

3.
This entry pairs a crystal structure of YEr4Sc with its computed powder XRD pattern. Radiation: copper Kα. Structure: a structure optimized by DFT (PBE).
Lines closer than 0.1° are merged.

Top 10 peaks for 2θ = 15–90°, sorted by position:
two_theta  d (Å)  Rel. int.
18.76  4.731  10
29.03  3.076  24
32.49  2.756  24
33.36  2.686  100
44.12  2.053  15
51.46  1.776  19
58.51  1.577  20
62.18  1.493  22
62.72  1.481  16
85.29  1.138  9

abc: 5.512 9.390 9.390
angles: 21.82 90.00 90.00
Positions (direct):
Y 0.000 0.000 0.000
Er 0.000 0.330 0.330
Er 0.000 0.668 0.668
Er 0.500 0.558 0.558
Er 0.500 0.885 0.885
Sc 0.500 0.222 0.222